SrLa3CoNiO8: theoretical powder diffractogram (Cu Kα, 1.54184 Å), based on the PBE+U geometry in Alexandria.

Crystal structure
a b c (Å): 5.4337 6.9722 6.9722
angles (deg): 45.66 90.00 90.00
Element x y z (fractional)
Sr1 0.0000 0.0000 0.0000
La1 0.0000 0.2819 0.2819
La2 0.5000 0.5046 0.5046
La3 0.5000 0.7842 0.7842
Co1 0.5000 0.1397 0.1397
Ni1 0.0000 0.6399 0.6399
O1 0.0000 0.4678 0.4678
O2 0.0000 0.8075 0.8075
O3 0.2592 0.3916 0.9013
O4 0.2592 0.9013 0.3916
O5 0.5000 0.3256 0.3256
O6 0.5000 0.9639 0.9639
O7 0.7408 0.3916 0.9013
O8 0.7408 0.9013 0.3916

Main lines, by angle (15° ≤ 2θ ≤ 90°):
24.22°, rel. 20.0
31.31°, rel. 100.0
32.97°, rel. 34.4
33.11°, rel. 34.0
42.33°, rel. 18.3
47.42°, rel. 34.7
57.84°, rel. 17.8
58.02°, rel. 17.7


La4Co3O10: theoretical powder diffractogram (Cu Kα, 1.54184 Å), based on the PBE+U geometry in Alexandria.

Crystal structure
a b c (Å): 14.6086 14.6086 14.6086
angles (deg): 164.94 164.94 21.35
Element x y z (fractional)
La1 0.0653 0.0653 0.0000
La2 0.1995 0.1995 0.0000
La3 0.8005 0.8005 0.0000
La4 0.9347 0.9347 0.0000
Co1 0.3612 0.3612 0.0000
Co2 0.5000 0.5000 0.0000
Co3 0.6388 0.6388 0.0000
O1 0.0000 0.5000 0.5000
O2 0.1399 0.6399 0.5000
O3 0.2816 0.2816 0.0000
O4 0.3601 0.8601 0.5000
O5 0.4335 0.4335 0.0000
O6 0.5000 0.0000 0.5000
O7 0.5665 0.5665 0.0000
O8 0.6399 0.1399 0.5000
O9 0.7184 0.7184 0.0000
O10 0.8601 0.3601 0.5000

Main lines, by angle (15° ≤ 2θ ≤ 90°):
23.45°, rel. 14.0
31.98°, rel. 100.0
33.10°, rel. 62.2
41.81°, rel. 28.9
47.51°, rel. 39.3
58.42°, rel. 36.1
66.87°, rel. 11.6
69.46°, rel. 12.6